Structure and calculated X-ray powder pattern of Ce4ZnP5 (a DFT-relaxed cell (GGA-PBE, Alexandria); a wavelength of 1.5418 Å).
Neutral-atom scattering factors, no anomalous dispersion.

Structural model:
Lattice parameters (Å, degrees): 4.0889 4.0889 46.7993 90.00 90.00 120.00
Space group R-3m (No. 166, hexagonal axes)
Inequivalent atoms, fractional coordinates:
Ce1 0.0000 0.0000 0.1074 x6
Ce2 0.0000 0.0000 0.2978 x6
Zn1 0.0000 0.0000 0.5000 x3
P1 0.0000 0.0000 0.0000 x3
P2 0.0000 0.0000 0.1939 x6
P3 0.0000 0.0000 0.4049 x6

The 10 most intense peaks (10° ≤ 2θ ≤ 80°), by angle:
26.92°, I 59, hkl 0 1 5; 28.58°, I 23, hkl 0 0 15; 31.69°, I 100, hkl 1 0 10; 41.55°, I 12, hkl 0 1 17; 44.31°, I 43, hkl 1 1 0; 46.52°, I 24, hkl 0 1 20; 52.61°, I 10, hkl 2 0 5; 53.59°, I 16, hkl 1 1 15; 55.50°, I 24, hkl 0 2 10; 73.61°, I 19, hkl 2 1 10